# 1
KHo3F10: simulated X-ray diffraction stick pattern (Cu Kα (λ = 1.5418 Å)), based on a PBE-relaxed structure.
Neutral-atom scattering factors, no anomalous dispersion.

Cell and atoms:
```
data_KHo3F10
_chemical_formula_sum 'K8 Ho24 F80'
_cell_length_a 11.586
_cell_length_b 11.586
_cell_length_c 11.586
_cell_angle_alpha 90.00
_cell_angle_beta 90.00
_cell_angle_gamma 90.00
_symmetry_space_group_name_H-M 'F m -3 m'
_symmetry_Int_Tables_number 225
_symmetry_space_group_name_Hall '-F 4 2 3'
loop_
_atom_site_label
_atom_site_fract_x
_atom_site_fract_y
_atom_site_fract_z
_atom_site_occupancy
K1 0.250 0.250 0.250 1
Ho1 0.000 0.000 0.240 1
F1 0.000 0.165 0.335 1
F2 0.111 0.111 0.111 1
```

Top 8 peaks for 15° ≤ 2θ ≤ 90°, sorted by position:
15.3°, d 5.793, rel. 21, hkl 2 0 0
21.7°, d 4.096, rel. 21, hkl 2 2 0
26.7°, d 3.345, rel. 100, hkl 2 2 2
30.9°, d 2.897, rel. 41, hkl 4 0 0
44.2°, d 2.048, rel. 48, hkl 4 4 0
52.4°, d 1.747, rel. 55, hkl 6 2 2
70.9°, d 1.329, rel. 19, hkl 6 6 2
81.4°, d 1.183, rel. 16, hkl 8 4 4

# 2
K3HoF6: simulated X-ray diffraction stick pattern (Cu Kα (λ = 1.5418 Å)), based on a PBE-relaxed structure.
Neutral-atom scattering factors, no anomalous dispersion.

Cell and atoms:
```
data_K3HoF6
_chemical_formula_sum 'K12 Ho4 F24'
_cell_length_a 9.333
_cell_length_b 9.333
_cell_length_c 9.333
_cell_angle_alpha 90.00
_cell_angle_beta 90.00
_cell_angle_gamma 90.00
_symmetry_space_group_name_H-M 'F m -3 m'
_symmetry_Int_Tables_number 225
_symmetry_space_group_name_Hall '-F 4 2 3'
loop_
_atom_site_label
_atom_site_fract_x
_atom_site_fract_y
_atom_site_fract_z
_atom_site_occupancy
K1 0.000 0.000 0.000 1
K2 0.250 0.250 0.250 1
Ho1 0.000 0.000 0.500 1
F1 0.000 0.000 0.269 1
```

Top 8 peaks for 15° ≤ 2θ ≤ 90°, sorted by position:
16.5°, d 5.388, rel. 63, hkl 1 1 1
19.0°, d 4.666, rel. 50, hkl 2 0 0
27.0°, d 3.300, rel. 100, hkl 2 2 0
31.8°, d 2.814, rel. 29, hkl 3 1 1
38.6°, d 2.333, rel. 49, hkl 4 0 0
43.4°, d 2.087, rel. 23, hkl 4 2 0
47.7°, d 1.905, rel. 39, hkl 4 2 2
55.7°, d 1.650, rel. 29, hkl 4 4 0

# 3
LiHoF2: simulated X-ray diffraction stick pattern (Cu Kα (λ = 1.5418 Å)), based on a PBE-relaxed structure.
Neutral-atom scattering factors, no anomalous dispersion.

Cell and atoms:
```
data_LiHoF2
_chemical_formula_sum 'Li8 Ho8 F16'
_cell_length_a 6.368
_cell_length_b 6.368
_cell_length_c 12.882
_cell_angle_alpha 90.00
_cell_angle_beta 90.00
_cell_angle_gamma 90.00
_symmetry_space_group_name_H-M 'I 41/a m d'
_symmetry_Int_Tables_number 141
loop_
_symmetry_equiv_pos_as_xyz
'x,y,z'
'-x,-y,-z'
'-y+1/4,x+3/4,z+1/4'
'y+1/4,-x+3/4,-z+1/4'
'-x+1/2,-y,z+1/2'
'x+1/2,y,-z+1/2'
'y+1/4,-x+1/4,z+3/4'
'-y+1/4,x+1/4,-z+3/4'
'x,-y,-z'
'-x,y,z'
'-y+1/4,-x+1/4,-z+3/4'
'y+1/4,x+1/4,z+3/4'
'-x+1/2,y,-z+1/2'
'x+1/2,-y,z+1/2'
'y+1/4,x+3/4,-z+1/4'
'-y+1/4,-x+3/4,z+1/4'
'x+1/2,y+1/2,z+1/2'
'-x+1/2,-y+1/2,-z+1/2'
'-y+3/4,x+1/4,z+3/4'
'y+3/4,-x+1/4,-z+3/4'
'-x,-y+1/2,z'
'x,y+1/2,-z'
'y+3/4,-x+3/4,z+1/4'
'-y+3/4,x+3/4,-z+1/4'
'x+1/2,-y+1/2,-z+1/2'
'-x+1/2,y+1/2,z+1/2'
'-y+3/4,-x+3/4,-z+1/4'
'y+3/4,x+3/4,z+1/4'
'-x,y+1/2,-z'
'x,-y+1/2,z'
'y+3/4,x+1/4,-z+3/4'
'-y+3/4,-x+1/4,z+3/4'
loop_
_atom_site_label
_atom_site_fract_x
_atom_site_fract_y
_atom_site_fract_z
_atom_site_occupancy
Li1 0.000 0.000 0.000 1
Ho1 0.000 0.000 0.500 1
F1 0.000 0.009 0.318 1
```

Top 8 peaks for 15° ≤ 2θ ≤ 90°, sorted by position:
15.5°, d 5.708, rel. 100, hkl 1 0 1
25.0°, d 3.560, rel. 15, hkl 1 0 3
27.7°, d 3.220, rel. 21, hkl 0 0 4
31.3°, d 2.854, rel. 47, hkl 2 0 2
32.2°, d 2.781, rel. 33, hkl 2 1 1
40.1°, d 2.251, rel. 26, hkl 2 2 0
49.4°, d 1.845, rel. 18, hkl 2 2 4
51.3°, d 1.780, rel. 23, hkl 2 0 6

# 4
Na5Ho4Si4O16F: simulated X-ray diffraction stick pattern (Cu Kα (λ = 1.5418 Å)), based on a PBE-relaxed structure.
Neutral-atom scattering factors, no anomalous dispersion.

Cell and atoms:
```
data_Na5Ho4Si4O16F
_chemical_formula_sum 'Na10 Ho8 Si8 O32 F2'
_cell_length_a 11.641
_cell_length_b 11.641
_cell_length_c 5.428
_cell_angle_alpha 90.00
_cell_angle_beta 90.00
_cell_angle_gamma 90.00
_symmetry_space_group_name_H-M 'I -4'
_symmetry_Int_Tables_number 82
loop_
_symmetry_equiv_pos_as_xyz
'x,y,z'
'y,-x,-z'
'-x,-y,z'
'-y,x,-z'
'x+1/2,y+1/2,z+1/2'
'y+1/2,-x+1/2,-z+1/2'
'-x+1/2,-y+1/2,z+1/2'
'-y+1/2,x+1/2,-z+1/2'
loop_
_atom_site_label
_atom_site_fract_x
_atom_site_fract_y
_atom_site_fract_z
_atom_site_occupancy
Na1 0.000 0.000 0.000 1
Na2 0.089 0.605 0.493 1
Ho1 0.115 0.182 0.477 1
Si1 0.104 0.754 0.989 1
O1 0.034 0.795 0.742 1
O2 0.049 0.813 0.236 1
O3 0.110 0.613 0.013 1
O4 0.203 0.236 0.066 1
F1 0.000 0.000 0.500 1
```

Top 8 peaks for 15° ≤ 2θ ≤ 90°, sorted by position:
18.0°, d 4.919, rel. 100, hkl 1 0 1
23.7°, d 3.757, rel. 47, hkl 2 1 1
24.2°, d 3.681, rel. 51, hkl 3 1 0
28.3°, d 3.157, rel. 64, hkl 3 0 1
32.3°, d 2.775, rel. 71, hkl 2 3 1
33.0°, d 2.714, rel. 45, hkl 0 0 2
35.9°, d 2.505, rel. 58, hkl 4 1 1
48.5°, d 1.879, rel. 43, hkl 2 4 2

# 5
Rb2NaHoF6: simulated X-ray diffraction stick pattern (Cu Kα (λ = 1.5418 Å)), based on a PBE-relaxed structure.
Neutral-atom scattering factors, no anomalous dispersion.

Cell and atoms:
```
data_Rb2NaHoF6
_chemical_formula_sum 'Rb4 Na2 Ho2 F12'
_cell_length_a 6.334
_cell_length_b 6.334
_cell_length_c 9.024
_cell_angle_alpha 90.00
_cell_angle_beta 90.00
_cell_angle_gamma 90.00
_symmetry_space_group_name_H-M 'I 4/m'
_symmetry_Int_Tables_number 87
_symmetry_space_group_name_Hall '-I 4'
loop_
_atom_site_label
_atom_site_fract_x
_atom_site_fract_y
_atom_site_fract_z
_atom_site_occupancy
Rb1 0.000 0.500 0.250 1
Na1 0.000 0.000 0.000 1
Ho1 0.000 0.000 0.500 1
F1 0.000 0.000 0.259 1
F2 0.211 0.271 0.500 1
```

Top 8 peaks for 15° ≤ 2θ ≤ 90°, sorted by position:
17.1°, d 5.184, rel. 68, hkl 1 0 1
28.1°, d 3.179, rel. 100, hkl 1 1 2
28.2°, d 3.167, rel. 52, hkl 2 0 0
33.1°, d 2.703, rel. 25, hkl 1 2 1
40.3°, d 2.239, rel. 40, hkl 2 2 0
49.6°, d 1.837, rel. 22, hkl 2 0 4
49.8°, d 1.831, rel. 44, hkl 1 3 2
58.0°, d 1.589, rel. 26, hkl 2 2 4

# 6
Rb2NaHoF6: simulated X-ray diffraction stick pattern (Cu Kα (λ = 1.5418 Å)), based on a PBE-relaxed structure.
Neutral-atom scattering factors, no anomalous dispersion.

Cell and atoms:
```
data_Rb2NaHoF6
_chemical_formula_sum 'Rb8 Na4 Ho4 F24'
_cell_length_a 8.979
_cell_length_b 8.979
_cell_length_c 8.979
_cell_angle_alpha 90.00
_cell_angle_beta 90.00
_cell_angle_gamma 90.00
_symmetry_space_group_name_H-M 'F m -3 m'
_symmetry_Int_Tables_number 225
_symmetry_space_group_name_Hall '-F 4 2 3'
loop_
_atom_site_label
_atom_site_fract_x
_atom_site_fract_y
_atom_site_fract_z
_atom_site_occupancy
Rb1 0.250 0.250 0.250 1
Na1 0.000 0.000 0.000 1
Ho1 0.000 0.000 0.500 1
F1 0.000 0.000 0.258 1
```

Top 8 peaks for 15° ≤ 2θ ≤ 90°, sorted by position:
17.1°, d 5.184, rel. 44, hkl 1 1 1
28.1°, d 3.175, rel. 100, hkl 2 2 0
33.1°, d 2.707, rel. 23, hkl 3 1 1
40.2°, d 2.245, rel. 42, hkl 4 0 0
49.7°, d 1.833, rel. 42, hkl 4 2 2
58.1°, d 1.587, rel. 26, hkl 4 4 0
65.8°, d 1.420, rel. 19, hkl 6 2 0
80.0°, d 1.200, rel. 22, hkl 6 4 2

# 7
Ho3Se4O12F: simulated X-ray diffraction stick pattern (Cu Kα (λ = 1.5418 Å)), based on a PBE-relaxed structure.
Neutral-atom scattering factors, no anomalous dispersion.

Cell and atoms:
```
data_Ho3Se4O12F
_chemical_formula_sum 'Ho6 Se8 O24 F2'
_cell_length_a 10.4350
_cell_length_b 10.4350
_cell_length_c 6.8449
_cell_angle_alpha 90.00
_cell_angle_beta 90.00
_cell_angle_gamma 120.00
_symmetry_space_group_name_H-M 'P 63 m c'
_symmetry_Int_Tables_number 186
_symmetry_space_group_name_Hall 'P 6c -2c'
loop_
_atom_site_label
_atom_site_fract_x
_atom_site_fract_y
_atom_site_fract_z
_atom_site_occupancy
Ho1 0.0757 0.5379 0.0000 1
Se1 0.1548 0.3095 0.2330 1
Se2 0.3333 0.6667 0.5656 1
O1 0.0803 0.4170 0.3029 1
O2 0.1612 0.5806 0.6792 1
O3 0.1821 0.3642 0.9920 1
F1 0.3333 0.6667 0.0461 1
```

Top 8 peaks for 15° ≤ 2θ ≤ 90°, sorted by position:
23.6°, d 3.771, rel. 99, hkl 2 0 1
27.9°, d 3.201, rel. 47, hkl 1 0 2
29.2°, d 3.056, rel. 100, hkl 2 1 1
32.5°, d 2.757, rel. 67, hkl 3 0 1
32.8°, d 2.728, rel. 95, hkl 2 0 2
34.4°, d 2.609, rel. 66, hkl 2 2 0
45.7°, d 1.984, rel. 52, hkl 3 2 1
48.0°, d 1.897, rel. 61, hkl 2 1 3

# 8
Ho2S2F: simulated X-ray diffraction stick pattern (Cu Kα (λ = 1.5418 Å)), based on a PBE-relaxed structure.
Neutral-atom scattering factors, no anomalous dispersion.

Cell and atoms:
```
data_Ho2S2F
_chemical_formula_sum 'Ho2 S2 F1'
_cell_length_a 3.732
_cell_length_b 3.732
_cell_length_c 11.125
_cell_angle_alpha 90.00
_cell_angle_beta 90.00
_cell_angle_gamma 90.00
_symmetry_space_group_name_H-M 'P 4/m m m'
_symmetry_Int_Tables_number 123
_symmetry_space_group_name_Hall '-P 4 2'
loop_
_atom_site_label
_atom_site_fract_x
_atom_site_fract_y
_atom_site_fract_z
_atom_site_occupancy
Ho1 0.000 0.000 0.192 1
S1 0.000 0.000 0.412 1
F1 0.000 0.000 0.000 1
```

Top 8 peaks for 15° ≤ 2θ ≤ 90°, sorted by position:
15.9°, d 5.562, rel. 26, hkl 0 0 2
23.8°, d 3.732, rel. 100, hkl 1 0 0
28.8°, d 3.099, rel. 27, hkl 1 0 2
34.0°, d 2.639, rel. 39, hkl 1 1 0
34.1°, d 2.630, rel. 31, hkl 1 0 3
47.6°, d 1.911, rel. 28, hkl 1 0 5
53.9°, d 1.701, rel. 19, hkl 1 1 5
55.0°, d 1.668, rel. 28, hkl 2 1 0